[1]
Simulated PXRD pattern of PuHf4N6 for Cu Kα (weighted mean of Kα1 and Kα2), from the PBE geometry in Alexandria.
Peak positions follow from Bragg's law for the DFT cell and can differ from measured ones.

Top 12 peaks for 2θ = 10–80°, in order of falling intensity:
| d [Å] | Position (°2θ) | I (rel.) |
| --- | --- | --- |
| 2.773 | 32.3 | 100 |
| 2.666 | 33.6 | 91 |
| 2.281 | 39.5 | 43 |
| 2.867 | 31.2 | 37 |
| 1.386 | 67.6 | 34 |
| 2.177 | 41.5 | 26 |
| 1.692 | 54.2 | 21 |
| 1.626 | 56.6 | 20 |
| 1.686 | 54.4 | 16 |
| 1.371 | 68.4 | 15 |
| 1.544 | 59.9 | 14 |
| 1.600 | 57.6 | 14 |

Crystal structure
```
PuHf4N6
1.0
1.5995 -5.3286 0.0000
1.5995 5.3286 0.0000
0.0000 0.0000 16.2388
Pu Hf N
2 8 12
Direct
0.1537 0.8463 0.7500
0.8463 0.1537 0.2500
0.1030 0.8970 0.1361
0.1030 0.8970 0.3639
0.3678 0.6322 0.0475
0.3678 0.6322 0.4525
0.6322 0.3678 0.5475
0.6322 0.3678 0.9525
0.8970 0.1030 0.6361
0.8970 0.1030 0.8639
0.0000 0.0000 0.0000
0.0000 0.0000 0.5000
0.1888 0.8112 0.2500
0.2702 0.7298 0.5821
0.2702 0.7298 0.9179
0.4675 0.5325 0.1585
0.4675 0.5325 0.3415
0.5325 0.4675 0.6585
0.5325 0.4675 0.8415
0.7298 0.2702 0.0821
0.7298 0.2702 0.4179
0.8112 0.1888 0.7500
```

***

[2]
Simulated PXRD pattern of Pu2HfN for Cu Kα (weighted mean of Kα1 and Kα2), from the PBE geometry in Alexandria.
Peak positions follow from Bragg's law for the DFT cell and can differ from measured ones.

Top 12 peaks for 2θ = 10–80°, in order of falling intensity:
| d [Å] | Position (°2θ) | I (rel.) |
| --- | --- | --- |
| 2.794 | 32.0 | 100 |
| 3.085 | 28.9 | 64 |
| 2.183 | 41.4 | 63 |
| 1.435 | 65.0 | 41 |
| 1.621 | 56.8 | 36 |
| 1.974 | 46.0 | 36 |
| 2.752 | 32.5 | 24 |
| 2.603 | 34.5 | 21 |
| 2.506 | 35.8 | 20 |
| 2.292 | 39.3 | 18 |
| 1.412 | 66.2 | 16 |
| 1.402 | 66.7 | 13 |

Crystal structure
```
Pu2HfN
1.0
3.2422 0.0000 0.0000
-1.6211 2.8078 0.0000
0.0000 0.0000 27.7636
Pu Hf N
6 3 3
Direct
0.0000 0.0000 0.1131
0.0000 0.0000 0.8869
0.3333 0.6667 0.5535
0.3333 0.6667 0.7798
0.6667 0.3333 0.2202
0.6667 0.3333 0.4465
0.0000 0.0000 0.0000
0.3333 0.6667 0.6667
0.6667 0.3333 0.3333
0.0000 0.0000 0.5000
0.3333 0.6667 0.1667
0.6667 0.3333 0.8333
```

***

[3]
Simulated PXRD pattern of Pu4Hf3N8 for Cu Kα (weighted mean of Kα1 and Kα2), from the PBE geometry in Alexandria.
Peak positions follow from Bragg's law for the DFT cell and can differ from measured ones.

Top 12 peaks for 2θ = 10–80°, in order of falling intensity:
| d [Å] | Position (°2θ) | I (rel.) |
| --- | --- | --- |
| 2.737 | 32.7 | 100 |
| 2.708 | 33.1 | 97 |
| 2.350 | 38.3 | 88 |
| 2.373 | 37.9 | 45 |
| 1.422 | 65.6 | 44 |
| 1.671 | 55.0 | 31 |
| 1.662 | 55.3 | 30 |
| 5.416 | 16.4 | 24 |
| 1.368 | 68.6 | 16 |
| 1.682 | 54.6 | 16 |
| 1.435 | 65.0 | 15 |
| 1.354 | 69.4 | 15 |

Crystal structure
```
Pu4Hf3N8
1.0
4.6943 -4.7053 0.0000
4.6943 4.7053 0.0000
-4.6189 0.0000 4.7466
Pu Hf N
4 3 8
Direct
0.0000 0.0000 0.0000
0.0000 0.5000 0.0000
0.5000 0.0000 0.0000
0.5000 0.5000 0.5000
0.0000 0.0000 0.5000
0.0000 0.5000 0.5000
0.5000 0.0000 0.5000
0.2211 0.2211 0.9711
0.2327 0.2327 0.4794
0.2393 0.7607 0.0000
0.2401 0.7599 0.5000
0.7599 0.2401 0.5000
0.7607 0.2393 0.0000
0.7673 0.7673 0.5206
0.7789 0.7789 0.0289
```

***

[4]
Simulated PXRD pattern of Hf6Re2N for Cu Kα (weighted mean of Kα1 and Kα2), from the PBE geometry in Alexandria.
Peak positions follow from Bragg's law for the DFT cell and can differ from measured ones.

Top 12 peaks for 2θ = 10–80°, in order of falling intensity:
| d [Å] | Position (°2θ) | I (rel.) |
| --- | --- | --- |
| 2.513 | 35.7 | 100 |
| 2.300 | 39.2 | 28 |
| 2.318 | 38.8 | 25 |
| 2.122 | 42.6 | 25 |
| 2.684 | 33.4 | 19 |
| 1.560 | 59.2 | 18 |
| 1.366 | 68.7 | 15 |
| 1.747 | 52.4 | 11 |
| 1.388 | 67.5 | 9 |
| 1.288 | 73.5 | 8 |
| 1.426 | 65.4 | 7 |
| 1.230 | 77.6 | 6 |

Crystal structure
```
Hf6Re2N
1.0
6.0013 0.0000 0.0000
0.0000 6.0013 0.0000
0.0000 0.0000 9.2019
Hf Re N
12 4 2
Direct
0.0000 0.0000 0.2415
0.0000 0.0000 0.7585
0.1823 0.3121 0.5000
0.1879 0.3177 0.0000
0.3121 0.8177 0.5000
0.3177 0.8121 0.0000
0.5000 0.5000 0.2585
0.5000 0.5000 0.7415
0.6823 0.1879 0.0000
0.6879 0.1823 0.5000
0.8121 0.6823 0.0000
0.8177 0.6879 0.5000
0.0000 0.5000 0.2500
0.0000 0.5000 0.7500
0.5000 0.0000 0.2500
0.5000 0.0000 0.7500
0.0000 0.0000 0.0000
0.5000 0.5000 0.5000
```

***

[5]
Simulated PXRD pattern of Tm2HfS2N2 for Cu Kα (weighted mean of Kα1 and Kα2), from the PBE geometry in Alexandria.
Peak positions follow from Bragg's law for the DFT cell and can differ from measured ones.

Top 12 peaks for 2θ = 10–80°, in order of falling intensity:
| d [Å] | Position (°2θ) | I (rel.) |
| --- | --- | --- |
| 2.929 | 30.5 | 100 |
| 2.304 | 39.1 | 95 |
| 3.084 | 28.9 | 70 |
| 1.540 | 60.1 | 55 |
| 6.930 | 12.8 | 49 |
| 2.071 | 43.7 | 45 |
| 1.720 | 53.3 | 27 |
| 1.310 | 72.1 | 17 |
| 1.465 | 63.5 | 14 |
| 1.491 | 62.3 | 14 |
| 1.236 | 77.2 | 14 |
| 1.329 | 70.9 | 11 |

Crystal structure
```
Tm2HfS2N2
1.0
4.1428 0.0000 0.0000
0.0000 4.1428 0.0000
0.0000 0.0000 13.8602
Tm Hf S N
4 2 4 4
Direct
0.0000 0.0000 0.1159
0.0000 0.0000 0.8841
0.5000 0.5000 0.3841
0.5000 0.5000 0.6159
0.0000 0.0000 0.5000
0.5000 0.5000 0.0000
0.0000 0.0000 0.3157
0.0000 0.0000 0.6843
0.5000 0.5000 0.1843
0.5000 0.5000 0.8157
0.0000 0.5000 0.0000
0.0000 0.5000 0.5000
0.5000 0.0000 0.0000
0.5000 0.0000 0.5000
```

***

[6]
Simulated PXRD pattern of Hf5Sb2N for Cu Kα (weighted mean of Kα1 and Kα2), from the PBE geometry in Alexandria.
Peak positions follow from Bragg's law for the DFT cell and can differ from measured ones.

Top 12 peaks for 2θ = 10–80°, in order of falling intensity:
| d [Å] | Position (°2θ) | I (rel.) |
| --- | --- | --- |
| 2.815 | 31.8 | 100 |
| 7.665 | 11.5 | 74 |
| 2.459 | 36.5 | 65 |
| 3.977 | 22.4 | 55 |
| 2.389 | 37.6 | 55 |
| 2.409 | 37.3 | 52 |
| 2.059 | 44.0 | 47 |
| 2.498 | 35.9 | 46 |
| 2.357 | 38.2 | 39 |
| 2.785 | 32.1 | 30 |
| 1.550 | 59.7 | 29 |
| 2.825 | 31.7 | 27 |

Crystal structure
```
Hf5Sb2N
1.0
2.0587 -7.6652 0.0000
2.0587 7.6652 0.0000
0.0000 0.0000 11.9556
Hf Sb N
10 4 2
Direct
0.1210 0.8790 0.6246
0.1210 0.8790 0.8754
0.2441 0.7559 0.2500
0.3081 0.6919 0.5530
0.3081 0.6919 0.9470
0.6919 0.3081 0.0530
0.6919 0.3081 0.4470
0.7559 0.2441 0.7500
0.8790 0.1210 0.1246
0.8790 0.1210 0.3754
0.0711 0.9289 0.1204
0.0711 0.9289 0.3796
0.9289 0.0711 0.6204
0.9289 0.0711 0.8796
0.2285 0.7715 0.7500
0.7715 0.2285 0.2500
```

***

[7]
Simulated PXRD pattern of HfUSb2N for Cu Kα (weighted mean of Kα1 and Kα2), from the PBE geometry in Alexandria.
Peak positions follow from Bragg's law for the DFT cell and can differ from measured ones.

Top 12 peaks for 2θ = 10–80°, in order of falling intensity:
| d [Å] | Position (°2θ) | I (rel.) |
| --- | --- | --- |
| 2.577 | 34.8 | 100 |
| 2.756 | 32.5 | 84 |
| 1.554 | 59.5 | 43 |
| 1.949 | 46.6 | 33 |
| 2.968 | 30.1 | 18 |
| 3.390 | 26.3 | 17 |
| 1.232 | 77.4 | 14 |
| 1.761 | 51.9 | 11 |
| 1.378 | 68.0 | 11 |
| 1.215 | 78.8 | 10 |
| 6.871 | 12.9 | 10 |
| 1.296 | 73.0 | 9 |

Crystal structure
```
HfUSb2N
1.0
3.8974 0.0000 0.0000
0.0000 3.8974 0.0000
0.0000 0.0000 13.7420
Hf U Sb N
2 2 4 2
Direct
0.2500 0.2500 0.0702
0.7500 0.7500 0.9298
0.2500 0.2500 0.5829
0.7500 0.7500 0.4171
0.2500 0.2500 0.2916
0.2500 0.2500 0.8541
0.7500 0.7500 0.1459
0.7500 0.7500 0.7084
0.2500 0.7500 0.5000
0.7500 0.2500 0.5000
```

***

[8]
Simulated PXRD pattern of Hf3Sc2N4 for Cu Kα (weighted mean of Kα1 and Kα2), from the PBE geometry in Alexandria.
Peak positions follow from Bragg's law for the DFT cell and can differ from measured ones.

Top 12 peaks for 2θ = 10–80°, in order of falling intensity:
| d [Å] | Position (°2θ) | I (rel.) |
| --- | --- | --- |
| 2.341 | 38.5 | 100 |
| 2.558 | 35.1 | 91 |
| 2.721 | 32.9 | 89 |
| 2.113 | 42.8 | 51 |
| 6.499 | 13.6 | 45 |
| 2.600 | 34.5 | 44 |
| 1.606 | 57.4 | 42 |
| 1.367 | 68.7 | 37 |
| 1.709 | 53.6 | 28 |
| 4.333 | 20.5 | 28 |
| 1.545 | 59.9 | 26 |
| 1.325 | 71.2 | 15 |

Crystal structure
```
Hf3Sc2N4
1.0
3.2127 0.0000 0.0000
-1.6064 2.7823 0.0000
0.0000 0.0000 12.9983
Hf Sc N
3 2 4
Direct
0.0000 0.0000 0.0000
0.3333 0.6667 0.6005
0.6667 0.3333 0.3995
0.3333 0.6667 0.2030
0.6667 0.3333 0.7970
0.0000 0.0000 0.3021
0.0000 0.0000 0.6979
0.3333 0.6667 0.9038
0.6667 0.3333 0.0962
```

***

[9]
Simulated PXRD pattern of HfSc2N3 for Cu Kα (weighted mean of Kα1 and Kα2), from the PBE geometry in Alexandria.
Peak positions follow from Bragg's law for the DFT cell and can differ from measured ones.

Top 12 peaks for 2θ = 10–80°, in order of falling intensity:
| d [Å] | Position (°2θ) | I (rel.) |
| --- | --- | --- |
| 2.832 | 31.6 | 100 |
| 1.734 | 52.8 | 42 |
| 1.479 | 62.8 | 39 |
| 4.433 | 20.0 | 36 |
| 2.452 | 36.6 | 35 |
| 5.203 | 17.0 | 25 |
| 3.292 | 27.1 | 17 |
| 2.488 | 36.1 | 16 |
| 1.916 | 47.5 | 12 |
| 1.416 | 66.0 | 9 |
| 1.965 | 46.2 | 9 |
| 1.615 | 57.0 | 7 |

Crystal structure
```
HfSc2N3
1.0
3.4708 0.0000 0.0000
0.0000 10.4051 0.0000
0.0000 0.0000 4.8998
Hf Sc N
2 4 6
Direct
0.0000 0.0000 0.0000
0.5000 0.5000 0.5000
0.0000 0.3330 0.0052
0.0000 0.6670 0.0052
0.5000 0.1670 0.5052
0.5000 0.8330 0.5052
0.0000 0.1637 0.7580
0.0000 0.5000 0.7430
0.0000 0.8363 0.7580
0.5000 0.0000 0.2430
0.5000 0.3363 0.2580
0.5000 0.6637 0.2580
```

***

[10]
Simulated PXRD pattern of HfSc5N5 for Cu Kα (weighted mean of Kα1 and Kα2), from the PBE geometry in Alexandria.
Peak positions follow from Bragg's law for the DFT cell and can differ from measured ones.

Top 12 peaks for 2θ = 10–80°, in order of falling intensity:
| d [Å] | Position (°2θ) | I (rel.) |
| --- | --- | --- |
| 2.615 | 34.3 | 100 |
| 2.262 | 39.9 | 64 |
| 6.069 | 14.6 | 40 |
| 4.093 | 21.7 | 34 |
| 2.270 | 39.7 | 32 |
| 1.600 | 57.6 | 30 |
| 1.602 | 57.5 | 29 |
| 1.364 | 68.8 | 26 |
| 4.539 | 19.6 | 19 |
| 1.307 | 72.3 | 19 |
| 1.368 | 68.6 | 13 |
| 3.629 | 24.5 | 12 |

Crystal structure
```
HfSc5N5
1.0
5.0748 -2.2617 0.0000
5.0748 2.2617 0.0000
-2.0402 0.0000 6.0692
Hf Sc N
1 5 5
Direct
0.0000 0.0000 0.0000
0.0000 0.0000 0.5000
0.3232 0.3232 0.6696
0.3298 0.3298 0.1572
0.6702 0.6702 0.8428
0.6768 0.6768 0.3304
0.1643 0.1643 0.8334
0.1647 0.1647 0.3318
0.5000 0.5000 0.0000
0.8353 0.8353 0.6682
0.8357 0.8357 0.1666
```

***

[11]
Simulated PXRD pattern of Hf3ScN2 for Cu Kα (weighted mean of Kα1 and Kα2), from the PBE geometry in Alexandria.
Peak positions follow from Bragg's law for the DFT cell and can differ from measured ones.

Top 12 peaks for 2θ = 10–80°, in order of falling intensity:
| d [Å] | Position (°2θ) | I (rel.) |
| --- | --- | --- |
| 2.468 | 36.4 | 100 |
| 2.605 | 34.4 | 23 |
| 1.476 | 63.0 | 20 |
| 1.618 | 56.9 | 20 |
| 1.375 | 68.2 | 20 |
| 2.803 | 31.9 | 19 |
| 1.908 | 47.7 | 19 |
| 3.817 | 23.3 | 16 |
| 1.353 | 69.5 | 15 |
| 3.236 | 27.6 | 7 |
| 5.606 | 15.8 | 6 |
| 1.963 | 46.3 | 5 |

Crystal structure
```
Hf3ScN2
1.0
6.4728 0.0000 0.0000
-3.2364 5.6056 0.0000
0.0000 0.0000 5.2108
Hf Sc N
6 2 4
Direct
0.1673 0.3346 0.2387
0.1673 0.8327 0.2387
0.3346 0.1673 0.7613
0.6654 0.8327 0.2387
0.8327 0.1673 0.7613
0.8327 0.6654 0.7613
0.3333 0.6667 0.7544
0.6667 0.3333 0.2456
0.0000 0.0000 0.0000
0.0000 0.5000 0.0000
0.5000 0.0000 0.0000
0.5000 0.5000 0.0000
```

***

[12]
Simulated PXRD pattern of Hf3ScN3 for Cu Kα (weighted mean of Kα1 and Kα2), from the PBE geometry in Alexandria.
Peak positions follow from Bragg's law for the DFT cell and can differ from measured ones.

Top 12 peaks for 2θ = 10–80°, in order of falling intensity:
| d [Å] | Position (°2θ) | I (rel.) |
| --- | --- | --- |
| 2.610 | 34.4 | 100 |
| 1.846 | 49.4 | 47 |
| 3.197 | 27.9 | 39 |
| 1.430 | 65.3 | 26 |
| 3.692 | 24.1 | 26 |
| 2.261 | 39.9 | 20 |
| 1.507 | 61.5 | 19 |
| 1.364 | 68.9 | 14 |
| 2.131 | 42.4 | 7 |
| 6.393 | 13.9 | 7 |
| 1.651 | 55.7 | 6 |
| 1.395 | 67.1 | 5 |

Crystal structure
```
Hf3ScN3
1.0
7.3821 0.0000 0.0000
-3.6911 6.3931 0.0000
0.0000 0.0000 4.5230
Hf Sc N
6 2 6
Direct
0.1707 0.3414 0.2500
0.1707 0.8293 0.2500
0.3414 0.1707 0.7500
0.6586 0.8293 0.2500
0.8293 0.1707 0.7500
0.8293 0.6586 0.7500
0.3333 0.6667 0.7500
0.6667 0.3333 0.2500
0.1586 0.3172 0.7500
0.1586 0.8414 0.7500
0.3172 0.1586 0.2500
0.6828 0.8414 0.7500
0.8414 0.1586 0.2500
0.8414 0.6828 0.2500
```

***

[13]
Simulated PXRD pattern of Hf5ScN3 for Cu Kα (weighted mean of Kα1 and Kα2), from the PBE geometry in Alexandria.
Peak positions follow from Bragg's law for the DFT cell and can differ from measured ones.

Top 12 peaks for 2θ = 10–80°, in order of falling intensity:
| d [Å] | Position (°2θ) | I (rel.) |
| --- | --- | --- |
| 2.473 | 36.3 | 100 |
| 2.467 | 36.4 | 95 |
| 2.672 | 33.5 | 91 |
| 1.564 | 59.1 | 36 |
| 2.384 | 37.7 | 32 |
| 1.347 | 69.9 | 26 |
| 2.395 | 37.5 | 25 |
| 1.503 | 61.7 | 21 |
| 1.499 | 61.9 | 19 |
| 1.632 | 56.4 | 19 |
| 2.785 | 32.1 | 18 |
| 1.895 | 48.0 | 16 |

Crystal structure
```
Hf5ScN3
1.0
5.0046 -3.7678 0.0000
5.0046 3.7678 0.0000
-3.6142 0.0000 7.4137
Hf Sc N
10 2 6
Direct
0.0676 0.0676 0.3635
0.1313 0.5395 0.3359
0.2053 0.7947 0.0000
0.2622 0.2622 0.9666
0.4605 0.8687 0.6641
0.5395 0.1313 0.3359
0.7378 0.7378 0.0334
0.7947 0.2053 0.0000
0.8687 0.4605 0.6641
0.9324 0.9324 0.6365
0.3993 0.3993 0.6964
0.6007 0.6007 0.3036
0.1661 0.1661 0.6659
0.1675 0.1675 0.1681
0.5000 0.5000 0.0000
0.5000 0.5000 0.5000
0.8325 0.8325 0.8319
0.8339 0.8339 0.3341
```